Starting from a DFT-relaxed cell (GGA-PBE, Alexandria), the powder diffraction line list of PmEr3Hg6 was computed for Cu Kα (weighted mean of Kα1 and Kα2).

```
PmEr3Hg6
1.0
9.149 0.000 0.000
0.000 5.165 0.000
-3.244 0.000 10.656
Pm Er Hg
2 6 12
Direct
0.066 0.250 0.386
0.934 0.750 0.614
0.231 0.250 0.004
0.353 0.750 0.805
0.486 0.250 0.612
0.514 0.750 0.388
0.647 0.250 0.195
0.769 0.750 0.996
0.064 0.750 0.908
0.141 0.750 0.207
0.173 0.250 0.692
0.254 0.750 0.520
0.359 0.250 0.292
0.464 0.750 0.094
0.536 0.250 0.906
0.641 0.750 0.708
0.746 0.250 0.480
0.827 0.750 0.308
0.859 0.250 0.793
0.936 0.250 0.092
```

Top 10 peaks for 2θ = 10–90°, in order of rising 2θ:
2.643 Å, 33.9°, rel. 49, (2 0 -4)
2.626 Å, 34.1°, rel. 98, (3 1 -1)
2.595 Å, 34.6°, rel. 100, (1 1 3)
2.582 Å, 34.7°, rel. 52, (0 2 0)
1.847 Å, 49.3°, rel. 35, (2 2 -4)
1.844 Å, 49.4°, rel. 17, (4 0 2)
1.529 Å, 60.6°, rel. 14, (5 1 -5)
1.510 Å, 61.4°, rel. 16, (1 1 -7)
1.500 Å, 61.9°, rel. 43, (3 3 -1)
1.493 Å, 62.2°, rel. 19, (1 3 3)


Starting from a DFT-relaxed cell (GGA-PBE, Alexandria), the powder diffraction line list of Pm3Er4Hg8 was computed for Cu Kα (weighted mean of Kα1 and Kα2).

```
Pm3Er4Hg8
1.0
7.403 0.000 0.000
0.000 7.403 0.000
0.000 0.000 7.403
Pm Er Hg
3 4 8
Direct
0.000 0.000 0.500
0.000 0.500 0.000
0.500 0.000 0.000
0.000 0.000 0.000
0.000 0.500 0.500
0.500 0.000 0.500
0.500 0.500 0.000
0.262 0.262 0.262
0.262 0.262 0.738
0.262 0.738 0.262
0.262 0.738 0.738
0.738 0.262 0.262
0.738 0.262 0.738
0.738 0.738 0.262
0.738 0.738 0.738
```

Top 10 peaks for 2θ = 10–90°, in order of rising 2θ:
3.702 Å, 24.0°, rel. 4, (2 0 0)
3.311 Å, 26.9°, rel. 4, (2 1 0)
2.617 Å, 34.3°, rel. 100, (2 2 0)
1.851 Å, 49.2°, rel. 18, (4 0 0)
1.796 Å, 50.9°, rel. 2, (3 2 2)
1.511 Å, 61.3°, rel. 36, (4 2 2)
1.375 Å, 68.2°, rel. 3, (5 2 0)
1.309 Å, 72.2°, rel. 11, (4 4 0)
1.171 Å, 82.4°, rel. 15, (6 2 0)
1.104 Å, 88.6°, rel. 2, (5 4 2)


Starting from a DFT-relaxed cell (GGA-PBE, Alexandria), the powder diffraction line list of PmEr3Hg2 was computed for Cu Kα (weighted mean of Kα1 and Kα2).

```
PmEr3Hg2
1.0
5.076 0.000 0.000
0.000 9.230 0.000
0.000 0.000 7.136
Pm Er Hg
2 6 4
Direct
0.000 0.057 0.000
0.000 0.943 0.500
0.000 0.328 0.651
0.000 0.672 0.151
0.500 0.180 0.318
0.500 0.443 0.968
0.500 0.557 0.468
0.500 0.820 0.818
0.000 0.354 0.226
0.000 0.646 0.726
0.500 0.150 0.741
0.500 0.850 0.241
```

Top 10 peaks for 2θ = 10–90°, in order of rising 2θ:
3.080 Å, 29.0°, rel. 37, (1 2 1)
2.919 Å, 30.6°, rel. 24, (1 0 2)
2.824 Å, 31.7°, rel. 42, (0 2 2)
2.783 Å, 32.2°, rel. 100, (1 1 2)
2.631 Å, 34.1°, rel. 86, (1 3 0)
2.538 Å, 35.4°, rel. 59, (2 0 0)
2.305 Å, 39.1°, rel. 17, (0 4 0)
2.116 Å, 42.7°, rel. 33, (0 2 3)
1.888 Å, 48.2°, rel. 26, (2 2 2)
1.575 Å, 58.6°, rel. 17, (1 4 3)